# 1
Starting from a structure optimized by DFT (PBE), the XRD peak list of Nd5Ni19 was calculated for Cu Kα.
Peak positions follow from Bragg's law for the DFT cell and can differ from measured ones.

Peak list (10 most intense, 2θ from 15° to 90°, by intensity)
2θ 42.5, intensity 100; 2θ 32.4, intensity 50; 2θ 35.9, intensity 41; 2θ 41.8, intensity 38; 2θ 69.1, intensity 23; 2θ 76.2, intensity 19; 2θ 44.8, intensity 17; 2θ 65.3, intensity 16; 2θ 62.4, intensity 15; 2θ 46.3, intensity 12

Structural model:
Unit cell a=4.997 b=4.997 c=32.345 alpha=90.00 beta=90.00 gamma=120.00
Fractional positions:
1 Nd 0.333 0.667 0.022
2 Nd 0.333 0.667 0.132
3 Nd 0.333 0.667 0.250
4 Nd 0.333 0.667 0.368
5 Nd 0.333 0.667 0.478
6 Nd 0.667 0.333 0.522
7 Nd 0.667 0.333 0.632
8 Nd 0.667 0.333 0.750
9 Nd 0.667 0.333 0.868
10 Nd 0.667 0.333 0.978
11 Ni 0.000 0.000 0.000
12 Ni 0.000 0.000 0.127
13 Ni 0.000 0.000 0.250
14 Ni 0.000 0.000 0.373
15 Ni 0.000 0.000 0.500
16 Ni 0.000 0.000 0.627
17 Ni 0.000 0.000 0.750
18 Ni 0.000 0.000 0.873
19 Ni 0.166 0.333 0.565
20 Ni 0.166 0.333 0.935
21 Ni 0.166 0.834 0.565
22 Ni 0.166 0.834 0.935
23 Ni 0.167 0.334 0.689
24 Ni 0.167 0.334 0.811
25 Ni 0.167 0.833 0.689
26 Ni 0.167 0.833 0.811
27 Ni 0.333 0.166 0.065
28 Ni 0.333 0.166 0.435
29 Ni 0.333 0.667 0.626
30 Ni 0.333 0.667 0.750
31 Ni 0.333 0.667 0.874
32 Ni 0.334 0.167 0.189
33 Ni 0.334 0.167 0.311
34 Ni 0.666 0.833 0.689
35 Ni 0.666 0.833 0.811
36 Ni 0.667 0.333 0.126
37 Ni 0.667 0.333 0.250
38 Ni 0.667 0.333 0.374
39 Ni 0.667 0.834 0.565
40 Ni 0.667 0.834 0.935
41 Ni 0.833 0.167 0.189
42 Ni 0.833 0.167 0.311
43 Ni 0.833 0.666 0.189
44 Ni 0.833 0.666 0.311
45 Ni 0.834 0.166 0.065
46 Ni 0.834 0.166 0.435
47 Ni 0.834 0.667 0.065
48 Ni 0.834 0.667 0.435

---

# 2
Starting from a structure optimized by DFT (PBE), the XRD peak list of Rb3Tb2B3 was calculated for Cu Kα.
Peak positions follow from Bragg's law for the DFT cell and can differ from measured ones.

Peak list (10 most intense, 2θ from 15° to 90°, by intensity)
2θ 30.8, intensity 100; 2θ 23.3, intensity 68; 2θ 32.7, intensity 59; 2θ 25.4, intensity 53; 2θ 44.5, intensity 37; 2θ 18.1, intensity 32; 2θ 27.9, intensity 28; 2θ 51.2, intensity 24; 2θ 64.1, intensity 23; 2θ 46.8, intensity 22

Structural model:
Unit cell a=7.920 b=7.920 c=7.920 alpha=47.57 beta=47.57 gamma=47.57
Fractional positions:
1 Rb 0.000 0.500 0.500
2 Rb 0.500 0.000 0.500
3 Rb 0.500 0.500 0.000
4 Tb 0.151 0.151 0.151
5 Tb 0.849 0.849 0.849
6 B 0.037 0.037 0.037
7 B 0.500 0.500 0.500
8 B 0.963 0.963 0.963